1.
The following is a theoretical X-ray diffraction stick pattern of SmDy12Co6. It was derived from a DFT-relaxed cell (GGA-PBE, Alexandria), using Cu Ka.

Structural model:
```
SmDy12Co6
1.0
-4.8849 4.8849 4.8849
4.8849 -4.8849 4.8849
4.8849 4.8849 -4.8849
Sm Dy Co
1 12 6
Cartesian
0.0000 0.0000 0.0000 Sm
4.8849 -1.8631 2.9904 Dy
3.0218 1.8945 0.0000 Dy
6.7479 1.8945 0.0000 Dy
2.9904 4.8849 -1.8631 Dy
1.8945 0.0000 3.0218 Dy
4.8849 1.8631 2.9904 Dy
0.0000 3.0218 1.8945 Dy
2.9904 4.8849 1.8631 Dy
1.8945 0.0000 6.7479 Dy
-1.8631 2.9904 4.8849 Dy
1.8631 2.9904 4.8849 Dy
0.0000 6.7479 1.8945 Dy
4.8849 0.0000 1.1071 Co
4.8849 3.7777 0.0000 Co
1.1071 4.8849 0.0000 Co
3.7777 0.0000 4.8849 Co
0.0000 1.1071 4.8849 Co
0.0000 4.8849 3.7777 Co
```

Peak list (6 most intense, 2θ = 10–90°, by angle)
Position (°2θ)  I/Imax
28.90  53
31.73  50
34.35  100
47.45  26
54.79  37
58.21  39

2.
The following is a theoretical X-ray diffraction stick pattern of SmDyCo2. It was derived from a DFT-relaxed cell (GGA-PBE, Alexandria), using Cu Ka.

Structural model:
```
SmDyCo2
1.0
3.8762 0.0000 0.0000
0.0000 5.6216 0.0000
0.0000 0.0000 7.5682
Sm Dy Co
2 2 4
Cartesian
0.0000 0.7450 0.0000 Sm
0.0000 4.8766 3.7841 Sm
1.9381 2.0716 4.8715 Dy
1.9381 3.5500 1.0874 Dy
0.0000 2.0018 2.6634 Co
0.0000 3.6198 6.4475 Co
1.9381 0.9041 2.2455 Co
1.9381 4.7175 6.0296 Co
```

Peak list (6 most intense, 2θ = 10–90°, by angle)
Position (°2θ)  I/Imax
30.40  100
33.08  93
34.02  93
36.84  66
39.14  69
41.44  76

3.
The following is a theoretical X-ray diffraction stick pattern of DyCo4Sn. It was derived from a DFT-relaxed cell (GGA-PBE, Alexandria), using Cu Ka.

Structural model:
```
DyCo4Sn
1.0
0.0000 3.5323 3.5323
3.5323 0.0000 3.5323
3.5323 3.5323 0.0000
Dy Co Sn
1 4 1
Cartesian
0.0000 0.0000 0.0000 Dy
4.4131 2.6515 2.6515 Co
2.6515 4.4131 2.6515 Co
2.6515 2.6515 4.4131 Co
4.4131 4.4131 4.4131 Co
1.7661 1.7661 1.7661 Sn
```

Peak list (6 most intense, 2θ = 10–90°, by angle)
Position (°2θ)  I/Imax
35.96  60
42.44  100
44.42  17
64.63  22
69.09  30
76.24  23

4.
The following is a theoretical X-ray diffraction stick pattern of Dy4CoSn2. It was derived from a DFT-relaxed cell (GGA-PBE, Alexandria), using Cu Ka.

Structural model:
```
Dy4CoSn2
1.0
11.3417 0.0000 0.0000
0.0000 4.5268 0.0000
-4.6112 0.0000 7.1678
Dy Co Sn
8 2 4
Cartesian
-0.8263 0.0000 2.4839 Dy
1.6070 2.2634 0.4299 Dy
-0.5473 0.0000 6.7379 Dy
1.8860 2.2634 4.6839 Dy
4.8445 2.2634 2.4839 Dy
7.2778 0.0000 0.4299 Dy
5.1235 2.2634 6.7379 Dy
7.5568 0.0000 4.6839 Dy
0.0000 0.0000 0.0000 Co
5.6708 2.2634 0.0000 Co
-1.3477 2.2634 4.7652 Sn
2.4073 0.0000 2.4025 Sn
4.3231 0.0000 4.7652 Sn
8.0782 2.2634 2.4025 Sn
```

Peak list (6 most intense, 2θ = 10–90°, by angle)
Position (°2θ)  I/Imax
27.50  57
29.07  100
30.94  64
34.47  96
37.66  52
39.83  58

5.
The following is a theoretical X-ray diffraction stick pattern of DyCoSn3. It was derived from a DFT-relaxed cell (GGA-PBE, Alexandria), using Cu Ka.

Structural model:
```
DyCoSn3
1.0
4.1895 0.0000 0.0000
0.0000 8.5584 3.4054
0.0000 -8.5584 3.4054
Dy Co Sn
2 2 6
Cartesian
1.0474 -6.8831 3.4054 Dy
3.1421 6.8831 3.4054 Dy
1.0474 -0.6177 1.6703 Co
3.1421 0.6177 1.6703 Co
1.0474 -3.2075 1.9816 Sn
1.0474 -3.3469 4.8856 Sn
1.0474 1.1915 3.5393 Sn
3.1421 -1.1915 3.5393 Sn
3.1421 3.2075 1.9816 Sn
3.1421 3.3469 4.8856 Sn
```

Peak list (6 most intense, 2θ = 10–90°, by angle)
Position (°2θ)  I/Imax
28.20  29
29.85  78
35.56  100
38.17  18
41.28  28
43.19  29

6.
The following is a theoretical X-ray diffraction stick pattern of Tb3DyCo8. It was derived from a DFT-relaxed cell (GGA-PBE, Alexandria), using Cu Ka.

Structural model:
```
Tb3DyCo8
1.0
2.5382 1.4654 8.2960
-2.5382 1.4654 8.2960
0.0000 -2.9309 8.2960
Tb Dy Co
3 1 8
Cartesian
0.0000 0.0000 0.0000 Tb
0.0000 0.0000 3.1118 Tb
0.0000 0.0000 12.4451 Tb
0.0000 0.0000 15.5549 Dy
-1.2708 -0.7337 9.8478 Co
0.0000 -1.4665 5.7084 Co
-1.2700 0.7333 5.7084 Co
0.0000 0.0000 7.7768 Co
1.2708 -0.7337 9.8478 Co
1.2700 0.7333 5.7084 Co
0.0000 1.4674 9.8478 Co
0.0000 0.0000 20.2224 Co
```

Peak list (6 most intense, 2θ = 10–90°, by angle)
Position (°2θ)  I/Imax
35.35  66
41.72  100
43.66  15
63.46  24
67.81  30
74.79  22

7.
The following is a theoretical X-ray diffraction stick pattern of Tb12DyCo6. It was derived from a DFT-relaxed cell (GGA-PBE, Alexandria), using Cu Ka.

Structural model:
```
Tb12DyCo6
1.0
-4.9006 4.9006 4.9006
4.9006 -4.9006 4.9006
4.9006 4.9006 -4.9006
Tb Dy Co
12 1 6
Cartesian
4.9006 2.9981 -1.8722 Tb
3.0284 0.0000 1.9026 Tb
6.7729 0.0000 1.9026 Tb
1.9026 3.0284 0.0000 Tb
2.9981 -1.8722 4.9006 Tb
4.9006 2.9981 1.8722 Tb
0.0000 1.9026 3.0284 Tb
1.9026 6.7729 0.0000 Tb
2.9981 1.8722 4.9006 Tb
-1.8722 4.9006 2.9981 Tb
1.8722 4.9006 2.9981 Tb
0.0000 1.9026 6.7729 Tb
0.0000 0.0000 0.0000 Dy
4.9006 1.1099 0.0000 Co
4.9006 0.0000 3.7907 Co
3.7907 4.9006 0.0000 Co
1.1099 0.0000 4.9006 Co
0.0000 4.9006 1.1099 Co
0.0000 3.7907 4.9006 Co
```

Peak list (6 most intense, 2θ = 10–90°, by angle)
Position (°2θ)  I/Imax
28.80  52
31.62  51
34.23  100
47.29  27
54.60  36
58.01  39

8.
The following is a theoretical X-ray diffraction stick pattern of TbDy12Co6. It was derived from a DFT-relaxed cell (GGA-PBE, Alexandria), using Cu Ka.

Structural model:
```
TbDy12Co6
1.0
-4.8791 4.8791 4.8791
4.8791 -4.8791 4.8791
4.8791 4.8791 -4.8791
Tb Dy Co
1 12 6
Cartesian
0.0000 0.0000 0.0000 Tb
4.8791 -1.8643 2.9865 Dy
3.0148 1.8926 0.0000 Dy
6.7433 1.8926 0.0000 Dy
2.9865 4.8791 -1.8643 Dy
1.8926 0.0000 3.0148 Dy
4.8791 1.8643 2.9865 Dy
0.0000 3.0148 1.8926 Dy
2.9865 4.8791 1.8643 Dy
1.8926 0.0000 6.7433 Dy
-1.8643 2.9865 4.8791 Dy
1.8643 2.9865 4.8791 Dy
0.0000 6.7433 1.8926 Dy
4.8791 0.0000 1.1076 Co
4.8791 3.7714 0.0000 Co
1.1076 4.8791 0.0000 Co
3.7714 0.0000 4.8791 Co
0.0000 1.1076 4.8791 Co
0.0000 4.8791 3.7714 Co
```

Peak list (6 most intense, 2θ = 10–90°, by angle)
Position (°2θ)  I/Imax
28.93  52
31.77  50
34.39  100
47.51  26
54.86  37
58.29  39